Record 1
Calculated XRD peak list of LiNiP3O9 for Cu Ka, from a cell relaxed with GGA+U.
Kinematic intensities with the Lorentz-polarization factor, no thermal factor.

Main lines, by angle (2θ = 5–70°):
Position (°2θ), I/Imax
12.14, 100.0
14.38, 27.0
16.35, 19.9
20.60, 19.3
21.92, 47.1
23.66, 22.5
23.80, 31.5
24.42, 15.5
33.08, 17.7
39.52, 16.6

Structure:
```
LiNiP3O9
1.0
8.110 0.000 0.000
0.000 9.044 0.000
0.000 0.000 12.320
Li Ni P O
4 4 12 36
direct
0.002 0.169 0.008 Li
0.498 0.831 0.508 Li
0.502 0.331 0.992 Li
0.998 0.669 0.492 Li
0.178 0.792 0.876 Ni
0.322 0.208 0.376 Ni
0.678 0.708 0.124 Ni
0.822 0.292 0.624 Ni
0.174 0.000 0.181 P
0.182 0.513 0.316 P
0.215 0.305 0.627 P
0.285 0.695 0.127 P
0.318 0.487 0.816 P
0.326 0.000 0.681 P
0.674 0.500 0.819 P
0.682 0.987 0.684 P
0.715 0.195 0.373 P
0.785 0.805 0.873 P
0.818 0.013 0.184 P
0.826 0.500 0.319 P
0.007 0.424 0.315 O
0.044 0.371 0.636 O
0.164 0.605 0.204 O
0.187 0.604 0.798 O
0.189 0.617 0.411 O
0.192 0.090 0.079 O
0.202 0.069 0.290 O
0.203 0.702 0.018 O
0.207 0.143 0.680 O
0.293 0.857 0.180 O
0.297 0.298 0.518 O
0.298 0.931 0.790 O
0.308 0.910 0.579 O
0.311 0.383 0.911 O
0.313 0.396 0.298 O
0.336 0.395 0.704 O
0.456 0.629 0.136 O
0.493 0.576 0.815 O
0.507 0.076 0.685 O
0.544 0.129 0.364 O
0.664 0.895 0.796 O
0.687 0.896 0.202 O
0.689 0.883 0.589 O
0.692 0.410 0.921 O
0.702 0.431 0.710 O
0.703 0.798 0.982 O
0.707 0.357 0.320 O
0.793 0.643 0.820 O
0.797 0.202 0.482 O
0.798 0.569 0.210 O
0.808 0.590 0.421 O
0.811 0.117 0.089 O
0.813 0.104 0.702 O
0.836 0.105 0.296 O
0.956 0.871 0.864 O
0.993 0.924 0.185 O
```



Record 2
Calculated XRD peak list of CuMoF6 for Cu Ka, from a cell relaxed with GGA+U.
Kinematic intensities with the Lorentz-polarization factor, no thermal factor.

Main lines, by angle (2θ = 5–70°):
Position (°2θ), I/Imax
22.55, 100.0
23.84, 81.7
24.06, 80.8
31.37, 32.4
32.41, 27.8
32.65, 24.9
33.76, 16.6
46.04, 16.5
52.17, 15.0
60.20, 16.5

Structure:
```
CuMoF6
1.0
5.025 0.000 0.000
2.373 4.614 0.000
2.301 1.731 4.744
Cu Mo F
1 1 6
direct
0.000 0.000 0.000 Cu
0.500 0.500 0.500 Mo
0.127 0.375 0.748 F
0.250 0.889 0.242 F
0.413 0.727 0.736 F
0.587 0.273 0.264 F
0.750 0.111 0.758 F
0.873 0.625 0.252 F
```



Record 3
Calculated XRD peak list of NdCrO5 for Cu Ka, from a cell relaxed with GGA+U.
Kinematic intensities with the Lorentz-polarization factor, no thermal factor.

Main lines, by angle (2θ = 5–70°):
Position (°2θ), I/Imax
12.80, 38.5
18.43, 100.0
24.34, 45.0
24.76, 79.9
25.23, 42.6
25.75, 49.3
27.79, 49.8
31.23, 46.1
32.10, 45.0
32.54, 38.9

Structure:
```
NdCrO5
1.0
8.519 0.000 0.000
0.000 11.610 0.000
-8.316 0.000 8.618
Nd Cr O
8 8 40
direct
0.203 0.056 0.332 Nd
0.203 0.444 0.832 Nd
0.255 0.577 0.182 Nd
0.255 0.923 0.682 Nd
0.745 0.077 0.318 Nd
0.745 0.423 0.818 Nd
0.797 0.556 0.168 Nd
0.797 0.944 0.668 Nd
0.140 0.178 0.003 Cr
0.140 0.322 0.503 Cr
0.397 0.691 0.539 Cr
0.397 0.809 0.039 Cr
0.603 0.191 0.961 Cr
0.603 0.309 0.461 Cr
0.860 0.678 0.497 Cr
0.860 0.822 0.997 Cr
0.044 0.590 0.642 O
0.044 0.910 0.142 O
0.053 0.544 0.915 O
0.053 0.956 0.415 O
0.092 0.185 0.436 O
0.092 0.315 0.936 O
0.137 0.173 0.139 O
0.137 0.327 0.639 O
0.208 0.623 0.367 O
0.208 0.877 0.867 O
0.292 0.735 0.606 O
0.292 0.765 0.106 O
0.385 0.138 0.082 O
0.385 0.362 0.582 O
0.402 0.101 0.833 O
0.402 0.399 0.333 O
0.448 0.511 0.104 O
0.448 0.989 0.604 O
0.486 0.689 0.016 O
0.486 0.811 0.516 O
0.514 0.189 0.484 O
0.514 0.311 0.984 O
0.552 0.011 0.396 O
0.552 0.489 0.896 O
0.598 0.601 0.667 O
0.598 0.899 0.167 O
0.615 0.638 0.418 O
0.615 0.862 0.918 O
0.708 0.235 0.894 O
0.708 0.265 0.394 O
0.792 0.123 0.133 O
0.792 0.377 0.633 O
0.863 0.673 0.361 O
0.863 0.827 0.861 O
0.908 0.685 0.064 O
0.908 0.815 0.564 O
0.947 0.044 0.585 O
0.947 0.456 0.085 O
0.956 0.090 0.858 O
0.956 0.410 0.358 O
```



Record 4
Calculated XRD peak list of LiMnVP2O8F2 for Cu Ka, from a cell relaxed with GGA+U.
Kinematic intensities with the Lorentz-polarization factor, no thermal factor.

Main lines, by angle (2θ = 5–70°):
Position (°2θ), I/Imax
18.18, 100.0
18.91, 57.5
22.73, 23.5
25.77, 71.8
25.86, 24.3
26.39, 97.1
27.01, 24.4
29.57, 76.6
36.98, 27.2
47.04, 18.3

Structure:
```
LiMnVP2O8F2
1.0
5.180 0.000 0.000
-0.646 5.239 0.000
-1.857 -2.641 6.639
Li Mn V P O F
1 1 1 2 8 2
direct
0.000 0.000 0.000 Li
0.588 0.937 0.331 Mn
0.079 0.434 0.821 V
0.521 0.554 0.586 P
0.635 0.321 0.069 P
0.322 0.237 0.960 O
0.352 0.571 0.737 O
0.442 0.261 0.429 O
0.446 0.766 0.493 O
0.725 0.108 0.162 O
0.728 0.618 0.220 O
0.800 0.285 0.914 O
0.827 0.644 0.720 O
0.199 0.752 0.073 F
0.958 0.127 0.579 F
```